Theoretical powder diffraction line list of AcV2SnO8 for a wavelength of 1.5418 Å, from a structure optimized by DFT (PBE+U).
Lines closer than 0.1° are merged.

abc: 5.9230 5.9230 6.8319
angles: 90.00 90.00 120.00
Space group P-3m1 (No. 164)
Asymmetric unit:
Ac (0.0000, 0.0000, 0.0000) (multiplicity 1)
V (0.3333, 0.6667, 0.3491) (multiplicity 2)
Sn (0.0000, 0.0000, 0.5000) (multiplicity 1)
O (0.1654, 0.3308, 0.2714) (multiplicity 6)
O (0.3333, 0.6667, 0.5882) (multiplicity 2)

Peak list (6 most intense, 10° ≤ 2θ ≤ 90°, in order of rising 2θ)
| Position (°2θ) | d [Å] | I/Imax | hkl |
| --- | --- | --- | --- |
| 17.3 | 5.129 | 100 | 1 0 0 |
| 21.7 | 4.102 | 40 | 0 1 1 |
| 30.2 | 2.962 | 62 | 1 1 0 |
| 31.5 | 2.843 | 65 | 1 0 2 |
| 40.3 | 2.238 | 37 | 1 1 2 |
| 44.2 | 2.051 | 36 | 0 2 2 |